# 1
LiLa3Pm4Te8: simulated powder diffractogram (Cu Kα (weighted mean of Kα1 and Kα2)), based on the GGA-PBE geometry in Alexandria.

Peak list (6 most intense, 15 to 90 degrees two-theta, sorted by position)
2theta  d (Å)  I/Imax  hkl
28.0  3.182  100  0 2 4
40.1  2.250  76  2 0 8
49.7  1.836  20  4 0 4
65.5  1.425  18  2 2 12
65.7  1.422  17  2 4 4
72.9  1.298  19  4 2 8

Crystal structure
```
data_LiLa3Pm4Te8
_chemical_formula_sum 'Li3 La9 Pm12 Te24'
_cell_length_a 8.9902
_cell_length_b 8.9902
_cell_length_c 22.0999
_cell_angle_alpha 90.00
_cell_angle_beta 90.00
_cell_angle_gamma 120.00
_symmetry_space_group_name_H-M 'R -3 m'
_symmetry_Int_Tables_number 166
_symmetry_space_group_name_Hall '-R 3 2"'
loop_
_atom_site_label
_atom_site_type_symbol
_atom_site_fract_x
_atom_site_fract_y
_atom_site_fract_z
Li1 Li 0.0000 0.0000 0.0000
La1 La 0.0000 0.5000 0.0000
Pm1 Pm 0.0000 0.0000 0.5000
Pm2 Pm 0.0000 0.5000 0.5000
Te1 Te 0.0000 0.0000 0.2477
Te2 Te 0.0103 0.5052 0.7498
```


# 2
Ag7Au4: simulated powder diffractogram (Cu Kα (weighted mean of Kα1 and Kα2)), based on the GGA-PBE geometry in Alexandria.

Peak list (6 most intense, 15 to 90 degrees two-theta, sorted by position)
2theta  d (Å)  I/Imax  hkl
22.3  3.984  30  2 0 0
37.0  2.429  27  1 1 1
38.8  2.324  57  2 0 1
39.2  2.300  100  2 2 0
43.6  2.074  29  2 1 1
78.8  1.215  26  2 2 2

Crystal structure
```
data_Ag7Au4
_chemical_formula_sum 'Ag7 Au4'
_cell_length_a 9.2014
_cell_length_b 9.2014
_cell_length_c 2.8605
_cell_angle_alpha 90.00
_cell_angle_beta 90.00
_cell_angle_gamma 120.00
_symmetry_space_group_name_H-M 'P -6 m 2'
_symmetry_Int_Tables_number 187
_symmetry_space_group_name_Hall 'P -6 2'
loop_
_atom_site_label
_atom_site_type_symbol
_atom_site_fract_x
_atom_site_fract_y
_atom_site_fract_z
Ag1 Ag 0.0000 0.0000 0.0000
Ag2 Ag 0.1768 0.3535 0.5000
Ag3 Ag 0.5156 0.0312 0.0000
Au1 Au 0.3333 0.6667 0.0000
Au2 Au 0.3413 0.1706 0.5000
```